[1]
The following is a computed powder diffraction line list of Th2Fe3TcB12. It was derived from the GGA-PBE geometry in Alexandria, using λ = 1.5418 Å (Cu Kα).
Neutral-atom scattering factors, no anomalous dispersion.

Most intense lines, 2θ from 5° to 70°, in order of rising 2θ:
| 2theta | I_rel |
| --- | --- |
| 11.7 | 61 |
| 23.4 | 25 |
| 24.2 | 46 |
| 27.0 | 28 |
| 32.2 | 46 |
| 34.4 | 100 |
| 47.8 | 23 |
| 49.6 | 22 |
| 58.8 | 27 |
| 68.7 | 22 |

Cell and atoms:
Cell lengths 8.2387, 8.2387, 8.2387 Å; angles 39.44, 39.44, 39.44 degrees
Fractional positions:
Th  0.1398  0.1398  0.1398
Th  0.8602  0.8602  0.8602
Fe  0.0000  0.5000  0.5000
Fe  0.5000  0.0000  0.5000
Fe  0.5000  0.5000  0.0000
Tc  0.5000  0.5000  0.5000
B  0.1597  0.1597  0.4732
B  0.1597  0.4732  0.1597
B  0.1618  0.5561  0.5561
B  0.4439  0.4439  0.8382
B  0.4439  0.8382  0.4439
B  0.4732  0.1597  0.1597
B  0.5268  0.8403  0.8403
B  0.5561  0.1618  0.5561
B  0.5561  0.5561  0.1618
B  0.8382  0.4439  0.4439
B  0.8403  0.5268  0.8403
B  0.8403  0.8403  0.5268

***

[2]
The following is a computed powder diffraction line list of RbMnHg2Se4. It was derived from the GGA-PBE geometry in Alexandria, using λ = 1.5418 Å (Cu Kα).
Neutral-atom scattering factors, no anomalous dispersion.

Most intense lines, 2θ from 5° to 70°, in order of rising 2θ:
| 2theta | I_rel |
| --- | --- |
| 17.2 | 17 |
| 19.9 | 13 |
| 24.5 | 14 |
| 26.4 | 100 |
| 29.2 | 12 |
| 34.9 | 36 |
| 39.1 | 12 |
| 44.3 | 53 |
| 47.8 | 33 |
| 69.1 | 15 |

Cell and atoms:
Cell lengths 7.2786, 7.2786, 8.9346 Å; angles 90.00, 90.00, 90.00 degrees
Fractional positions:
Rb  0.0000  0.0000  0.0000
Rb  0.5000  0.5000  0.5000
Mn  0.0000  0.0000  0.5000
Mn  0.5000  0.5000  0.0000
Hg  0.0000  0.5000  0.2500
Hg  0.0000  0.5000  0.7500
Hg  0.5000  0.0000  0.2500
Hg  0.5000  0.0000  0.7500
Se  0.1951  0.1951  0.6391
Se  0.1951  0.8049  0.3609
Se  0.3049  0.3049  0.1391
Se  0.3049  0.6951  0.8609
Se  0.6951  0.3049  0.8609
Se  0.6951  0.6951  0.1391
Se  0.8049  0.1951  0.3609
Se  0.8049  0.8049  0.6391

***

[3]
The following is a computed powder diffraction line list of Cu2AgOs. It was derived from the GGA-PBE geometry in Alexandria, using λ = 1.5418 Å (Cu Kα).
Neutral-atom scattering factors, no anomalous dispersion.

Most intense lines, 2θ from 5° to 70°, in order of rising 2θ:
| 2theta | I_rel |
| --- | --- |
| 9.9 | 32 |
| 19.9 | 28 |
| 39.0 | 15 |
| 40.4 | 34 |
| 40.8 | 100 |
| 47.4 | 64 |
| 51.8 | 7 |
| 62.7 | 4 |
| 68.9 | 20 |
| 69.5 | 20 |

Cell and atoms:
Cell lengths 2.7054, 2.7054, 26.7910 Å; angles 90.00, 90.00, 120.00 degrees
Fractional positions:
Cu  0.0000  0.0000  0.2467
Cu  0.0000  0.0000  0.7533
Cu  0.3333  0.6667  0.4200
Cu  0.3333  0.6667  0.9134
Cu  0.6667  0.3333  0.0866
Cu  0.6667  0.3333  0.5800
Ag  0.0000  0.0000  0.0000
Ag  0.3333  0.6667  0.6667
Ag  0.6667  0.3333  0.3333
Os  0.0000  0.0000  0.5000
Os  0.3333  0.6667  0.1667
Os  0.6667  0.3333  0.8333

***

[4]
The following is a computed powder diffraction line list of Li2Zn8Ag3. It was derived from the GGA-PBE geometry in Alexandria, using λ = 1.5418 Å (Cu Kα).
Neutral-atom scattering factors, no anomalous dispersion.

Most intense lines, 2θ from 5° to 70°, in order of rising 2θ:
| 2theta | I_rel |
| --- | --- |
| 9.0 | 82 |
| 20.8 | 36 |
| 29.5 | 52 |
| 36.0 | 40 |
| 39.4 | 100 |
| 40.5 | 54 |
| 42.2 | 74 |
| 43.6 | 63 |
| 44.6 | 33 |
| 67.0 | 39 |

Cell and atoms:
Cell lengths 10.2829, 10.2829, 10.2829 Å; angles 28.11, 28.11, 28.11 degrees
Fractional positions:
Li  0.1412  0.1412  0.1412
Li  0.8588  0.8588  0.8588
Zn  0.2252  0.2252  0.2252
Zn  0.2323  0.2323  0.7321
Zn  0.2323  0.7321  0.2323
Zn  0.2679  0.7677  0.7677
Zn  0.7321  0.2323  0.2323
Zn  0.7677  0.2679  0.7677
Zn  0.7677  0.7677  0.2679
Zn  0.7748  0.7748  0.7748
Ag  0.3187  0.3187  0.3187
Ag  0.5000  0.5000  0.5000
Ag  0.6813  0.6813  0.6813

***

[5]
The following is a computed powder diffraction line list of Rb2Tl5Sn3. It was derived from the GGA-PBE geometry in Alexandria, using λ = 1.5418 Å (Cu Kα).
Neutral-atom scattering factors, no anomalous dispersion.

Most intense lines, 2θ from 5° to 70°, in order of rising 2θ:
| 2theta | I_rel |
| --- | --- |
| 14.1 | 32 |
| 18.0 | 28 |
| 27.0 | 38 |
| 27.5 | 100 |
| 33.4 | 80 |
| 37.2 | 71 |
| 43.5 | 21 |
| 48.0 | 29 |
| 56.2 | 28 |
| 62.2 | 34 |

Cell and atoms:
Cell lengths 5.3587, 5.3587, 12.5682 Å; angles 90.00, 90.00, 90.00 degrees
Fractional positions:
Rb  0.0000  0.5000  0.2400
Rb  0.5000  0.0000  0.7600
Tl  0.0000  0.0000  0.5000
Tl  0.0000  0.5000  0.6373
Tl  0.5000  0.0000  0.3627
Tl  0.5000  0.5000  0.0000
Tl  0.5000  0.5000  0.5000
Sn  0.0000  0.0000  0.0000
Sn  0.0000  0.5000  0.8785
Sn  0.5000  0.0000  0.1215